Calculated powder diffraction line list
Compound: TiCoP2O8
Radiation: copper Kα
Structure: a PBE+U-relaxed structure
No peak broadening, texture or thermal motion is included.

Peak list (12 most intense, 15° ≤ 2θ ≤ 90°, most intense first)
2theta  intensity
24.30  100.0
20.57  78.3
33.18  66.9
36.03  33.8
47.56  30.9
49.78  24.7
56.39  21.3
25.32  19.0
62.98  17.2
31.96  15.5
56.82  15.3
76.42  10.0

```
TiCoP2O8
1.0
4.3173 2.4926 6.9213
-4.3173 2.4926 6.9213
0.0000 -4.9852 6.9213
Ti Co P O
3 3 6 24
direct
0.0000 0.0000 0.0000
0.2139 0.2139 0.2139
0.5023 0.5023 0.5023
0.3565 0.3565 0.3565
0.7160 0.7160 0.7160
0.8558 0.8558 0.8558
0.1059 0.8137 0.4037
0.3176 0.6096 0.9020
0.4037 0.1059 0.8137
0.6096 0.9020 0.3176
0.8137 0.4037 0.1059
0.9020 0.3176 0.6096
0.0405 0.8622 0.2398
0.0972 0.2936 0.4463
0.1198 0.7705 0.9128
0.1769 0.9747 0.3516
0.2398 0.0405 0.8622
0.2688 0.6191 0.4149
0.2936 0.4463 0.0972
0.3516 0.1769 0.9747
0.3633 0.5430 0.7388
0.4149 0.2688 0.6191
0.4463 0.0972 0.2936
0.4726 0.6707 0.8681
0.5430 0.7388 0.3633
0.5970 0.9481 0.8049
0.6191 0.4149 0.2688
0.6707 0.8681 0.4726
0.7388 0.3633 0.5430
0.7705 0.9128 0.1198
0.8049 0.5970 0.9481
0.8622 0.2398 0.0405
0.8681 0.4726 0.6707
0.9128 0.1198 0.7705
0.9481 0.8049 0.5970
0.9747 0.3516 0.1769
```